No. 1
The following is a simulated X-ray diffraction stick pattern of SiTe2Br. It was derived from a structure optimized by DFT (PBE), using Cu Ka.
Kinematic intensities with the Lorentz-polarization factor, no thermal factor.

Most intense lines, 10° ≤ 2θ ≤ 80°, by intensity:
d [Å], 2θ/deg, I/Imax, index
2.973, 30.06, 100, 1 0 4
1.987, 45.66, 35, 1 1 0
2.240, 40.25, 29, 0 1 8
2.781, 32.18, 24, 0 1 5
3.304, 26.99, 20, 0 1 2
1.584, 58.25, 18, 1 1 9

a b c (Å): 3.9740 3.9740 23.6116
angles (deg): 90.00 90.00 120.00
Space group R-3m (No. 166, hexagonal axes)
One atom of each set of equivalent atoms:
Si  0.0000  0.0000  0.0000
Te  0.0000  0.0000  0.2674
Br  0.0000  0.0000  0.5000


No. 2
The following is a simulated X-ray diffraction stick pattern of Mg2Sn3Pt. It was derived from a structure optimized by DFT (PBE), using Cu Ka.
Kinematic intensities with the Lorentz-polarization factor, no thermal factor.

Most intense lines, 10° ≤ 2θ ≤ 80°, by intensity:
d [Å], 2θ/deg, I/Imax, index
2.471, 36.37, 100, 1 3 1
4.407, 20.15, 30, 0 4 0
8.815, 10.03, 27, 0 2 0
3.640, 24.46, 26, 1 3 0
2.938, 30.42, 25, 0 6 0
1.849, 49.29, 25, 1 7 1

a b c (Å): 4.6359 17.6293 3.3642
angles (deg): 90.00 90.00 90.00
Space group Cmmm (No. 65)
One atom of each set of equivalent atoms:
Mg  0.0000  0.1242  0.0000
Sn  0.0000  0.3067  0.5000
Sn  0.0000  0.5000  0.0000
Pt  0.0000  0.0000  0.5000